For Ho2Ga3Pd, a GGA-PBE-relaxed structure gives the theoretical X-ray powder pattern in this record (λ = 1.5418 Å (Cu Kα)).
Intensities are scaled so that the largest is 100.

Peak list (10 most intense, 10° ≤ 2θ ≤ 80°, by angle)
two_theta	Rel. int.	h k l
23.39	13.8	0 1 1
34.04	49.1	1 0 2
34.26	100.0	1 1 1
40.73	53.9	0 1 3
41.30	26.3	0 2 0
50.60	14.5	2 0 0
53.94	13.6	1 0 4
54.56	25.4	1 2 2
66.89	24.4	2 1 3
70.13	12.3	1 2 4

Crystal structure
```
Ho2Ga3Pd
1.0
3.6077 0.0000 0.0000
0.0000 4.3720 0.0000
0.0000 0.0000 7.7079
Ho Ga Pd
2 3 1
Cartesian
0.0000 0.0000 0.0000
0.0000 2.1860 3.7146
1.8039 0.0000 5.0621
1.8039 2.1860 1.2082
1.8039 2.1860 6.3647
1.8039 0.0000 2.5148
```